This entry pairs a crystal structure of Al10W3 with its simulated X-ray powder pattern. Radiation: Cu Kα (weighted mean of Kα1 and Kα2). Structure: the PBE geometry in OQMD.
Peak positions follow from Bragg's law for the DFT cell and can differ from measured ones.

Structure:
```
13
Lattice="2.5624 1.4794 9.0074 -2.5624 1.4794 9.0074 0.0000 -2.9588 9.0074" Properties=species:S:1:pos:R:3 pbc="T T T"
Al 0.0000 0.0000 1.2307
Al -1.2675 -0.7318 11.3397
Al 0.0000 0.0000 4.0942
Al 0.0000 -1.4635 15.6826
Al -1.2675 0.7318 15.6826
Al 1.2675 -0.7318 11.3397
Al 0.0000 1.4635 11.3397
Al 0.0000 0.0000 22.9281
Al 1.2675 0.7318 15.6826
Al 0.0000 0.0000 25.7916
W 0.0000 0.0000 8.8910
W 0.0000 0.0000 13.5112
W 0.0000 0.0000 18.1313
```

Most intense lines, 2θ from 10° to 90°, in order of rising 2θ:
19.71 deg, I 43
20.28 deg, I 73
25.98 deg, I 47
35.02 deg, I 67
40.50 deg, I 100
42.04 deg, I 38

***

This entry pairs a crystal structure of Al3Zn4 with its simulated X-ray powder pattern. Radiation: Cu Kα (weighted mean of Kα1 and Kα2). Structure: the PBE geometry in OQMD.
Peak positions follow from Bragg's law for the DFT cell and can differ from measured ones.

Structure:
```
14
Lattice="7.3398 0.0000 0.0000 -3.6699 6.3564 0.0000 0.0000 0.0000 4.7212" Properties=species:S:1:pos:R:3 pbc="T T T"
Al -2.6249 5.1277 1.1803
Al 0.5416 1.5193 1.1803
Al 1.5865 0.2906 3.5409
Al 2.0833 6.0658 1.1803
Al 3.1283 4.8371 3.5409
Al 6.2948 1.2287 3.5409
Zn -1.5664 3.9211 3.5409
Zn 0.0000 4.2376 1.1803
Zn 1.0573 3.0394 3.5409
Zn 3.1608 0.6040 1.1803
Zn 0.5091 5.7524 3.5409
Zn 2.6126 3.3171 1.1803
Zn 3.6699 2.1188 3.5409
Zn 5.2363 2.4354 1.1803
```

Most intense lines, 2θ from 10° to 90°, in order of rising 2θ:
13.93 deg, I 28
37.43 deg, I 24
38.12 deg, I 29
42.21 deg, I 100
71.69 deg, I 19
80.28 deg, I 18

***

This entry pairs a crystal structure of Zr3Al with its simulated X-ray powder pattern. Radiation: Cu Kα (weighted mean of Kα1 and Kα2). Structure: the PBE geometry in OQMD.
Peak positions follow from Bragg's law for the DFT cell and can differ from measured ones.

Structure:
```
8
Lattice="5.0940 0.0000 0.0000 0.0000 6.0560 0.0000 0.0000 0.0000 5.5067" Properties=species:S:1:pos:R:3 pbc="T T T"
Zr 1.2735 0.0050 0.8898
Zr 1.2735 1.5140 3.5164
Zr 1.2735 3.0230 0.8898
Zr 3.8205 3.0330 4.6169
Zr 3.8205 4.5420 1.9903
Zr 3.8205 6.0510 4.6169
Al 1.2735 4.5420 3.6916
Al 3.8205 1.5140 1.8151
```

Most intense lines, 2θ from 10° to 90°, in order of rising 2θ:
33.78 deg, I 32
35.24 deg, I 46
37.12 deg, I 67
38.25 deg, I 100
49.62 deg, I 22
70.47 deg, I 21